CaMg4Mo: computed powder XRD pattern (copper Kα), based on a DFT-relaxed cell (PBE, Alexandria).
Lines closer than 0.1° are merged.

Crystal structure
Lattice parameters (Å, degrees): 8.2349 8.2349 8.2349 90.00 90.00 90.00
Space group F-43m (No. 216)
One atom of each set of equivalent atoms:
Ca: 0.0000 0.0000 0.0000 x4
Mg: 0.1240 0.1240 0.6240 x16
Mo: 0.2500 0.2500 0.2500 x4

Top 8 peaks for 10 to 80 degrees two-theta, sorted by position:
h k l, 2θ (°), I/Imax
1 1 1, 18.7, 28
2 0 0, 21.6, 11
2 2 0, 30.7, 64
3 1 1, 36.2, 100
2 2 2, 37.8, 17
4 2 2, 54.6, 23
3 3 3, 58.2, 31
4 4 0, 64.0, 21

***

CaMg8N6: computed powder XRD pattern (copper Kα), based on a DFT-relaxed cell (PBE, Alexandria).
Lines closer than 0.1° are merged.

Crystal structure
Lattice parameters (Å, degrees): 6.2371 6.2371 12.0406 90.00 90.00 120.00
Space group P6_3cm (No. 185)
One atom of each set of equivalent atoms:
Ca: 0.0000 0.0000 0.0000 x2
Mg: 0.0000 0.3134 0.2989 x6
Mg: 0.0000 0.3765 0.6394 x6
Mg: 0.3333 0.6667 0.4521 x4
N: 0.0000 0.0000 0.2138 x2
N: 0.0000 0.3578 0.4687 x6
N: 0.3333 0.6667 0.2267 x4

Top 8 peaks for 10 to 80 degrees two-theta, sorted by position:
h k l, 2θ (°), I/Imax
0 0 4, 29.6, 100
1 1 2, 32.3, 32
1 1 3, 36.5, 60
1 1 4, 41.7, 55
0 0 6, 45.2, 20
1 1 5, 47.7, 26
3 0 0, 50.7, 82
3 0 6, 70.2, 31

***

CaMgN: computed powder XRD pattern (copper Kα), based on a DFT-relaxed cell (PBE, Alexandria).
Lines closer than 0.1° are merged.

Crystal structure
Lattice parameters (Å, degrees): 3.4177 3.4178 11.6860 81.71 81.70 60.00
Space group P-1 (No. 2)
One atom of each set of equivalent atoms:
Ca: 0.1070 0.1128 0.1652 x2
Mg: 0.3745 0.3812 0.3639 x2
N: 0.2640 0.2580 0.7206 x2

Top 8 peaks for 10 to 80 degrees two-theta, sorted by position:
h k l, 2θ (°), I/Imax
0 0 2, 15.4, 97
0 0 4, 31.0, 15
1 1 2, 32.0, 82
1 1 -1, 32.9, 16
1 0 3, 36.8, 100
1 0 5, 48.0, 27
2 1 1, 53.6, 40
2 2 4, 66.8, 14

***

CaMgPN3: computed powder XRD pattern (copper Kα), based on a DFT-relaxed cell (PBE, Alexandria).
Lines closer than 0.1° are merged.

Crystal structure
Lattice parameters (Å, degrees): 11.8233 3.6336 6.7196 90.00 107.65 90.00
Space group C2/m (No. 12)
One atom of each set of equivalent atoms:
Ca: 0.1558 0.0000 0.0812 x4
Mg: 0.1491 0.0000 0.5691 x4
P: 0.0046 0.5000 0.2174 x4
N: 0.0042 0.0000 0.2627 x4
N: 0.1386 0.5000 0.7912 x4
N: 0.1508 0.5000 0.3452 x4

Top 8 peaks for 10 to 80 degrees two-theta, sorted by position:
h k l, 2θ (°), I/Imax
3 1 0, 34.3, 34
4 0 -2, 35.5, 30
2 0 2, 36.2, 32
1 1 -2, 36.4, 100
6 0 0, 48.5, 24
0 2 0, 50.2, 29
2 0 -4, 54.6, 17
7 1 -2, 61.6, 15

***

Ca3Pu3MgN8: computed powder XRD pattern (copper Kα), based on a DFT-relaxed cell (PBE, Alexandria).
Lines closer than 0.1° are merged.

Crystal structure
Lattice parameters (Å, degrees): 6.7754 6.7754 16.9124 90.00 90.00 120.00
Space group R-3 (No. 148, hexagonal axes)
One atom of each set of equivalent atoms:
Ca: 0.0000 0.5000 0.0000 x9
Pu: 0.0000 0.5000 0.5000 x9
Mg: 0.0000 0.0000 0.5000 x3
N: 0.0000 0.0000 0.2431 x6
N: 0.0084 0.5349 0.7690 x18

Top 8 peaks for 10 to 80 degrees two-theta, sorted by position:
h k l, 2θ (°), I/Imax
0 0 3, 15.7, 100
0 1 2, 18.4, 34
0 2 1, 30.9, 53
0 0 6, 31.7, 28
2 0 2, 32.3, 77
0 2 4, 37.3, 84
2 0 8, 53.4, 28
2 2 0, 54.1, 28

***

Ca2MgReN4: computed powder XRD pattern (copper Kα), based on a DFT-relaxed cell (PBE, Alexandria).
Lines closer than 0.1° are merged.

Crystal structure
Lattice parameters (Å, degrees): 7.2048 6.3377 5.5683 90.00 90.00 90.00
Space group Pmn2_1 (No. 31)
One atom of each set of equivalent atoms:
Ca: 0.2469 0.1762 0.0000 x4
Mg: 0.0000 0.3418 0.5109 x2
Re: 0.0000 0.6672 0.0199 x2
N: 0.0000 0.4021 0.8820 x2
N: 0.0000 0.6385 0.3487 x2
N: 0.2241 0.8048 0.9397 x4

Top 8 peaks for 10 to 80 degrees two-theta, sorted by position:
h k l, 2θ (°), I/Imax
1 1 0, 18.6, 80
1 0 1, 20.2, 90
0 1 1, 21.2, 40
2 1 0, 28.5, 43
0 0 2, 32.1, 49
0 2 1, 32.5, 49
2 1 1, 32.8, 100
2 3 2, 60.7, 48

***

Ca2MgSnN: computed powder XRD pattern (copper Kα), based on a DFT-relaxed cell (PBE, Alexandria).
Lines closer than 0.1° are merged.

Crystal structure
Lattice parameters (Å, degrees): 5.0952 5.0952 4.1462 90.00 90.00 90.00
Space group P4/mmm (No. 123)
One atom of each set of equivalent atoms:
Ca: 0.0000 0.5000 0.0000 x2
Mg: 0.0000 0.0000 0.5000 x1
Sn: 0.5000 0.5000 0.5000 x1
N: 0.0000 0.0000 0.0000 x1

Top 8 peaks for 10 to 80 degrees two-theta, sorted by position:
h k l, 2θ (°), I/Imax
1 0 0, 17.4, 30
1 0 1, 27.7, 39
1 1 1, 32.9, 100
2 0 0, 35.2, 53
2 1 1, 45.4, 21
2 2 0, 50.7, 18
2 0 2, 57.3, 24
3 1 1, 61.8, 32